For Mn6O7F5, a structure optimized by DFT (GGA+U) gives the calculated X-ray diffraction stick pattern in this record (CuKα).
Peak positions follow from Bragg's law for the DFT cell and can differ from measured ones.

```
data_Mn6O7F5
_chemical_formula_sum 'Mn6 O7 F5'
_cell_length_a 4.757
_cell_length_b 9.120
_cell_length_c 4.761
_cell_angle_alpha 90.00
_cell_angle_beta 95.68
_cell_angle_gamma 90.00
_space_group_name_H-M_alt 'P 1 m 1'
_space_group_IT_number 6
loop_
_space_group_symop_operation_xyz
'x,y,z'
'x,-y,z'
loop_
_atom_site_label
_atom_site_fract_x
_atom_site_fract_y
_atom_site_fract_z
Mn1 0.000 0.000 0.000
Mn2 0.024 0.325 0.969
Mn3 0.494 0.175 0.505
Mn4 0.531 0.500 0.522
O1 0.200 0.168 0.187
O2 0.341 0.344 0.674
O3 0.811 0.166 0.796
O4 0.840 0.500 0.792
F1 0.228 0.500 0.183
F2 0.304 0.000 0.693
F3 0.671 0.000 0.323
F4 0.714 0.349 0.301
```

Main lines, sorted by position (2θ = 10–80°):
index	2θ/deg	Rel. int.
1 0 -1	25.25	100.0
1 0 1	27.93	80.2
1 3 0	35.08	82.4
2 0 0	38.00	15.4
1 3 -1	39.12	15.0
2 3 -1	51.15	57.8
2 0 -2	51.84	15.5
2 3 1	54.17	44.1
0 6 0	60.95	14.3
3 3 0	66.78	36.2